# Mg2GeSbF
Computed X-ray diffraction stick pattern, Cu Ka. Input: a PBE-relaxed structure.
Lines closer than 0.1° are merged.

Atomic structure:
```
data_Mg2GeSbF
_symmetry_space_group_name_H-M 'P 1'
_symmetry_Int_Tables_number 1
_cell_length_a 5.299
_cell_length_b 5.299
_cell_length_c 4.057
_cell_angle_alpha 90.00
_cell_angle_beta 90.00
_cell_angle_gamma 90.00
loop_
_symmetry_equiv_pos_as_xyz
'x,y,z'
loop_
_atom_site_label
_atom_site_fract_x
_atom_site_fract_y
_atom_site_fract_z
Mg1 0.000 0.500 0.000
Mg2 0.500 0.000 0.000
Ge1 0.000 0.000 0.000
Sb1 0.500 0.500 0.500
F1 0.000 0.000 0.500
```

The 6 most intense peaks (2θ = 5–70°), by intensity:
Position (°2θ)	I/Imax
27.69	100
33.83	69
23.75	65
44.27	57
32.53	29
57.19	29